Record 1
This entry pairs a crystal structure of Mg14NiW with its computed X-ray powder pattern. Radiation: λ = 1.5418 Å (Cu Kα). Structure: a cell relaxed with GGA-PBE.
Kinematic intensities with the Lorentz-polarization factor, no thermal factor.

Peak list (8 most intense, 15° ≤ 2θ ≤ 90°, in order of rising 2θ)
d (Å)	two_theta	I/Imax
5.401	16.4	32.1
4.734	18.7	43.2
4.705	18.9	27.3
3.630	24.5	34.5
2.679	33.4	34.2
2.458	36.6	36.4
2.367	38.0	55.0
2.352	38.3	100.0

Structural model:
```
data_Mg14NiW
_symmetry_space_group_name_H-M 'A m m 2'
_symmetry_Int_Tables_number 38
_cell_length_a 9.831
_cell_length_b 6.171
_cell_length_c 10.802
_cell_angle_alpha 90.00
_cell_angle_beta 90.00
_cell_angle_gamma 90.00
loop_
_symmetry_equiv_pos_as_xyz
'x,y,z'
'-x,-y,z'
'-x,y,z'
'x,-y,z'
'x,y+1/2,z+1/2'
'-x,-y+1/2,z+1/2'
'-x,y+1/2,z+1/2'
'x,-y+1/2,z+1/2'
loop_
_atom_site_label
_atom_site_fract_x
_atom_site_fract_y
_atom_site_fract_z
Mg1 0.000 0.000 0.000
Mg2 0.000 0.000 0.499
Mg3 0.000 0.249 0.252
Mg4 0.254 0.000 0.662
Mg5 0.263 0.000 0.160
Mg6 0.270 0.250 0.423
Mg7 0.500 0.246 0.751
Ni1 0.500 0.000 0.003
W1 0.500 0.000 0.509
```



Record 2
This entry pairs a crystal structure of CeMg6Cr with its computed X-ray powder pattern. Radiation: λ = 1.5418 Å (Cu Kα). Structure: a cell relaxed with GGA-PBE.
Kinematic intensities with the Lorentz-polarization factor, no thermal factor.

Peak list (8 most intense, 15° ≤ 2θ ≤ 90°, in order of rising 2θ)
d (Å)	two_theta	I/Imax
5.817	15.2	47.3
5.175	17.1	35.8
3.866	23.0	35.4
3.778	23.5	26.5
2.764	32.4	34.4
2.588	34.7	37.8
2.535	35.4	56.8
2.438	36.9	100.0

Structural model:
```
data_CeMg6Cr
_symmetry_space_group_name_H-M 'A m m 2'
_symmetry_Int_Tables_number 38
_cell_length_a 5.175
_cell_length_b 6.283
_cell_length_c 11.634
_cell_angle_alpha 90.00
_cell_angle_beta 90.00
_cell_angle_gamma 90.00
loop_
_symmetry_equiv_pos_as_xyz
'x,y,z'
'-x,-y,z'
'-x,y,z'
'x,-y,z'
'x,y+1/2,z+1/2'
'-x,-y+1/2,z+1/2'
'-x,y+1/2,z+1/2'
'x,-y+1/2,z+1/2'
loop_
_atom_site_label
_atom_site_fract_x
_atom_site_fract_y
_atom_site_fract_z
Ce1 0.000 0.000 0.000
Mg1 0.000 0.245 0.251
Mg2 0.500 0.000 0.169
Mg3 0.500 0.000 0.660
Mg4 0.500 0.238 0.417
Cr1 0.000 0.000 0.497
```